No. 1
Nd2Sm2C2IBr2Cl2: computed X-ray powder pattern (a wavelength of 1.5418 Å), based on a crystal structure in OQMD, relaxed with GGA-PBE.
Kinematic intensities with the Lorentz-polarization factor, no thermal factor.

Principal peaks in the range 2θ from 10° to 80°, by angle:
2θ 10.8, 8.211 Å, I = 27
2θ 16.3, 5.432 Å, I = 25
2θ 27.7, 3.224 Å, I = 43
2θ 29.3, 3.048 Å, I = 68
2θ 30.6, 2.917 Å, I = 37
2θ 31.0, 2.883 Å, I = 100
2θ 42.5, 2.126 Å, I = 38
2θ 43.9, 2.064 Å, I = 39
2θ 46.3, 1.960 Å, I = 22
2θ 55.8, 1.648 Å, I = 22

```
data_Nd2Sm2C2IBr2Cl2
_cell_length_a 18.974
_cell_length_b 3.919
_cell_length_c 8.518
_cell_angle_alpha 90.00
_cell_angle_beta 105.45
_cell_angle_gamma 90.00
_space_group_name_H-M_alt 'C 1 2/m 1'
_space_group_IT_number 12
loop_
_space_group_symop_operation_xyz
'x,y,z'
'-x,-y,-z'
'-x,y,-z'
'x,-y,z'
'x+1/2,y+1/2,z'
'-x+1/2,-y+1/2,-z'
'-x+1/2,y+1/2,-z'
'x+1/2,-y+1/2,z'
loop_
_atom_site_label
_atom_site_fract_x
_atom_site_fract_y
_atom_site_fract_z
Nd1 0.161 0.000 0.099
Sm1 0.001 0.500 0.809
C1 0.038 0.000 0.023
I1 0.000 0.000 0.500
Br1 0.163 0.500 0.360
Cl1 0.168 0.500 0.854
```

=====

No. 2
Pr4CIBr2Cl2: computed X-ray powder pattern (a wavelength of 1.5418 Å), based on a crystal structure in OQMD, relaxed with GGA-PBE.
Kinematic intensities with the Lorentz-polarization factor, no thermal factor.

Principal peaks in the range 2θ from 10° to 80°, by angle:
2θ 10.3, 8.590 Å, I = 40
2θ 27.3, 3.266 Å, I = 11
2θ 30.0, 2.979 Å, I = 100
2θ 33.2, 2.695 Å, I = 14
2θ 37.9, 2.375 Å, I = 18
2θ 40.7, 2.215 Å, I = 9
2θ 42.9, 2.108 Å, I = 16
2θ 43.0, 2.103 Å, I = 17
2θ 45.0, 2.016 Å, I = 11
2θ 55.0, 1.669 Å, I = 10

```
data_Pr4CIBr2Cl2
_cell_length_a 18.403
_cell_length_b 4.032
_cell_length_c 8.859
_cell_angle_alpha 90.00
_cell_angle_beta 104.14
_cell_angle_gamma 90.00
_space_group_name_H-M_alt 'C 1 2/m 1'
_space_group_IT_number 12
loop_
_space_group_symop_operation_xyz
'x,y,z'
'-x,-y,-z'
'-x,y,-z'
'x,-y,z'
'x+1/2,y+1/2,z'
'-x+1/2,-y+1/2,-z'
'-x+1/2,y+1/2,-z'
'x+1/2,-y+1/2,z'
loop_
_atom_site_label
_atom_site_fract_x
_atom_site_fract_y
_atom_site_fract_z
Pr1 0.000 0.000 0.197
Pr2 0.142 0.500 0.077
C1 0.000 0.500 0.000
I1 0.000 0.500 0.500
Br1 0.171 0.000 0.843
Cl1 0.161 0.000 0.311
```

=====

No. 3
Pr4CIBr2Cl2: computed X-ray powder pattern (a wavelength of 1.5418 Å), based on a crystal structure in OQMD, relaxed with GGA-PBE.
Kinematic intensities with the Lorentz-polarization factor, no thermal factor.

Principal peaks in the range 2θ from 10° to 80°, by angle:
2θ 10.2, 8.653 Å, I = 69
2θ 16.2, 5.468 Å, I = 19
2θ 20.5, 4.339 Å, I = 25
2θ 27.5, 3.243 Å, I = 27
2θ 29.9, 2.985 Å, I = 100
2θ 30.3, 2.946 Å, I = 37
2θ 30.9, 2.893 Å, I = 44
2θ 35.3, 2.544 Å, I = 18
2θ 43.6, 2.077 Å, I = 57
2θ 45.1, 2.011 Å, I = 18

```
data_Pr4CIBr2Cl2
_cell_length_a 17.935
_cell_length_b 4.021
_cell_length_c 8.908
_cell_angle_alpha 90.00
_cell_angle_beta 104.56
_cell_angle_gamma 90.00
_space_group_name_H-M_alt 'C 1 2/m 1'
_space_group_IT_number 12
loop_
_space_group_symop_operation_xyz
'x,y,z'
'-x,-y,-z'
'-x,y,-z'
'x,-y,z'
'x+1/2,y+1/2,z'
'-x+1/2,-y+1/2,-z'
'-x+1/2,y+1/2,-z'
'x+1/2,-y+1/2,z'
loop_
_atom_site_label
_atom_site_fract_x
_atom_site_fract_y
_atom_site_fract_z
Pr1 0.001 0.000 0.304
Pr2 0.146 0.500 0.576
C1 0.000 0.500 0.500
I1 0.000 0.500 0.000
Br1 0.171 0.000 0.830
Cl1 0.170 0.000 0.358
```

=====

No. 4
Pr2Sc2CIBr2Cl2: computed X-ray powder pattern (a wavelength of 1.5418 Å), based on a crystal structure in OQMD, relaxed with GGA-PBE.
Kinematic intensities with the Lorentz-polarization factor, no thermal factor.

Principal peaks in the range 2θ from 10° to 80°, by angle:
2θ 17.5, 5.068 Å, I = 28
2θ 21.1, 4.206 Å, I = 26
2θ 28.9, 3.087 Å, I = 31
2θ 32.2, 2.784 Å, I = 100
2θ 32.3, 2.771 Å, I = 34
2θ 35.1, 2.560 Å, I = 12
2θ 38.8, 2.321 Å, I = 14
2θ 45.4, 1.999 Å, I = 19
2θ 46.8, 1.941 Å, I = 21
2θ 47.9, 1.900 Å, I = 12

```
data_Pr2Sc2CIBr2Cl2
_cell_length_a 17.413
_cell_length_b 3.801
_cell_length_c 8.170
_cell_angle_alpha 90.00
_cell_angle_beta 106.07
_cell_angle_gamma 90.00
_space_group_name_H-M_alt 'C 1 2/m 1'
_space_group_IT_number 12
loop_
_space_group_symop_operation_xyz
'x,y,z'
'-x,-y,-z'
'-x,y,-z'
'x,-y,z'
'x+1/2,y+1/2,z'
'-x+1/2,-y+1/2,-z'
'-x+1/2,y+1/2,-z'
'x+1/2,-y+1/2,z'
loop_
_atom_site_label
_atom_site_fract_x
_atom_site_fract_y
_atom_site_fract_z
Pr1 0.149 0.000 0.084
Sc1 0.001 0.500 0.183
C1 0.000 0.000 0.000
I1 0.000 0.000 0.500
Br1 0.161 0.500 0.364
Cl1 0.159 0.500 0.829
```

=====

No. 5
Pr2Sm2CIBr2Cl2: computed X-ray powder pattern (a wavelength of 1.5418 Å), based on a crystal structure in OQMD, relaxed with GGA-PBE.
Kinematic intensities with the Lorentz-polarization factor, no thermal factor.

Principal peaks in the range 2θ from 10° to 80°, by angle:
2θ 10.0, 8.828 Å, I = 44
2θ 10.5, 8.405 Å, I = 50
2θ 27.8, 3.213 Å, I = 16
2θ 30.4, 2.943 Å, I = 38
2θ 30.6, 2.924 Å, I = 100
2θ 33.7, 2.658 Å, I = 19
2θ 43.5, 2.080 Å, I = 22
2θ 43.8, 2.068 Å, I = 24
2θ 45.8, 1.980 Å, I = 15
2θ 56.0, 1.643 Å, I = 13

```
data_Pr2Sm2CIBr2Cl2
_cell_length_a 18.215
_cell_length_b 3.960
_cell_length_c 8.671
_cell_angle_alpha 90.00
_cell_angle_beta 104.23
_cell_angle_gamma 90.00
_space_group_name_H-M_alt 'C 1 2/m 1'
_space_group_IT_number 12
loop_
_space_group_symop_operation_xyz
'x,y,z'
'-x,-y,-z'
'-x,y,-z'
'x,-y,z'
'x+1/2,y+1/2,z'
'-x+1/2,-y+1/2,-z'
'-x+1/2,y+1/2,-z'
'x+1/2,-y+1/2,z'
loop_
_atom_site_label
_atom_site_fract_x
_atom_site_fract_y
_atom_site_fract_z
Pr1 0.143 0.000 0.079
Sm1 0.000 0.500 0.195
C1 0.000 0.000 0.000
I1 0.000 0.000 0.500
Br1 0.169 0.500 0.832
Cl1 0.158 0.500 0.321
```

=====

No. 6
Pr2Y2CI2Br2Cl: computed X-ray powder pattern (a wavelength of 1.5418 Å), based on a crystal structure in OQMD, relaxed with GGA-PBE.
Kinematic intensities with the Lorentz-polarization factor, no thermal factor.

Principal peaks in the range 2θ from 10° to 80°, by angle:
2θ 11.0, 8.061 Å, I = 39
2θ 22.1, 4.029 Å, I = 25
2θ 23.0, 3.871 Å, I = 27
2θ 28.8, 3.098 Å, I = 47
2θ 31.3, 2.856 Å, I = 100
2θ 32.5, 2.756 Å, I = 20
2θ 33.1, 2.709 Å, I = 39
2θ 43.0, 2.103 Å, I = 29
2θ 43.1, 2.097 Å, I = 26
2θ 45.9, 1.979 Å, I = 18

```
data_Pr2Y2CI2Br2Cl
_cell_length_a 19.027
_cell_length_b 3.958
_cell_length_c 8.250
_cell_angle_alpha 90.00
_cell_angle_beta 102.29
_cell_angle_gamma 90.00
_space_group_name_H-M_alt 'C 1 2/m 1'
_space_group_IT_number 12
loop_
_space_group_symop_operation_xyz
'x,y,z'
'-x,-y,-z'
'-x,y,-z'
'x,-y,z'
'x+1/2,y+1/2,z'
'-x+1/2,-y+1/2,-z'
'-x+1/2,y+1/2,-z'
'x+1/2,-y+1/2,z'
loop_
_atom_site_label
_atom_site_fract_x
_atom_site_fract_y
_atom_site_fract_z
Pr1 0.000 0.000 0.214
Y1 0.130 0.500 0.069
C1 0.000 0.500 0.000
I1 0.173 0.000 0.818
Br1 0.162 0.000 0.328
Cl1 0.000 0.500 0.500
```

=====

No. 7
Pr2Y2CI2Br2Cl: computed X-ray powder pattern (a wavelength of 1.5418 Å), based on a crystal structure in OQMD, relaxed with GGA-PBE.
Kinematic intensities with the Lorentz-polarization factor, no thermal factor.

Principal peaks in the range 2θ from 10° to 80°, by angle:
2θ 10.9, 8.139 Å, I = 18
2θ 23.0, 3.871 Å, I = 26
2θ 29.0, 3.078 Å, I = 47
2θ 31.3, 2.860 Å, I = 100
2θ 31.8, 2.810 Å, I = 19
2θ 33.2, 2.701 Å, I = 49
2θ 42.6, 2.124 Å, I = 28
2θ 43.8, 2.067 Å, I = 45
2θ 45.8, 1.979 Å, I = 18
2θ 55.2, 1.665 Å, I = 21

```
data_Pr2Y2CI2Br2Cl
_cell_length_a 18.783
_cell_length_b 3.959
_cell_length_c 8.276
_cell_angle_alpha 90.00
_cell_angle_beta 100.46
_cell_angle_gamma 90.00
_space_group_name_H-M_alt 'C 1 2/m 1'
_space_group_IT_number 12
loop_
_space_group_symop_operation_xyz
'x,y,z'
'-x,-y,-z'
'-x,y,-z'
'x,-y,z'
'x+1/2,y+1/2,z'
'-x+1/2,-y+1/2,-z'
'-x+1/2,y+1/2,-z'
'x+1/2,-y+1/2,z'
loop_
_atom_site_label
_atom_site_fract_x
_atom_site_fract_y
_atom_site_fract_z
Pr1 0.003 0.000 0.287
Y1 0.131 0.500 0.560
C1 0.000 0.500 0.500
I1 0.168 0.000 0.844
Br1 0.171 0.000 0.336
Cl1 0.000 0.500 0.000
```

=====

No. 8
Pr2Y2CIBr2Cl2: computed X-ray powder pattern (a wavelength of 1.5418 Å), based on a crystal structure in OQMD, relaxed with GGA-PBE.
Kinematic intensities with the Lorentz-polarization factor, no thermal factor.

Principal peaks in the range 2θ from 10° to 80°, by angle:
2θ 10.1, 8.747 Å, I = 23
2θ 10.8, 8.220 Å, I = 53
2θ 28.2, 3.170 Å, I = 22
2θ 30.7, 2.916 Å, I = 46
2θ 31.0, 2.884 Å, I = 27
2θ 31.1, 2.872 Å, I = 100
2θ 34.1, 2.627 Å, I = 26
2θ 44.1, 2.055 Å, I = 27
2θ 44.5, 2.037 Å, I = 30
2θ 46.5, 1.951 Å, I = 18

```
data_Pr2Y2CIBr2Cl2
_cell_length_a 18.058
_cell_length_b 3.902
_cell_length_c 8.486
_cell_angle_alpha 90.00
_cell_angle_beta 104.37
_cell_angle_gamma 90.00
_space_group_name_H-M_alt 'C 1 2/m 1'
_space_group_IT_number 12
loop_
_space_group_symop_operation_xyz
'x,y,z'
'-x,-y,-z'
'-x,y,-z'
'x,-y,z'
'x+1/2,y+1/2,z'
'-x+1/2,-y+1/2,-z'
'-x+1/2,y+1/2,-z'
'x+1/2,-y+1/2,z'
loop_
_atom_site_label
_atom_site_fract_x
_atom_site_fract_y
_atom_site_fract_z
Pr1 0.144 0.000 0.080
Y1 0.001 0.500 0.193
C1 0.000 0.000 0.000
I1 0.000 0.000 0.500
Br1 0.166 0.500 0.822
Cl1 0.156 0.500 0.330
```

=====

No. 9
Pr2Y2CI2Br2Cl: computed X-ray powder pattern (a wavelength of 1.5418 Å), based on a crystal structure in OQMD, relaxed with GGA-PBE.
Kinematic intensities with the Lorentz-polarization factor, no thermal factor.

Principal peaks in the range 2θ from 10° to 80°, by angle:
2θ 11.0, 8.072 Å, I = 24
2θ 28.2, 3.165 Å, I = 23
2θ 29.6, 3.020 Å, I = 50
2θ 30.5, 2.929 Å, I = 33
2θ 31.5, 2.836 Å, I = 100
2θ 33.7, 2.657 Å, I = 19
2θ 36.7, 2.447 Å, I = 20
2θ 43.5, 2.081 Å, I = 28
2θ 44.1, 2.054 Å, I = 28
2θ 46.5, 1.954 Å, I = 19

```
data_Pr2Y2CI2Br2Cl
_cell_length_a 18.508
_cell_length_b 3.908
_cell_length_c 8.245
_cell_angle_alpha 90.00
_cell_angle_beta 101.78
_cell_angle_gamma 90.00
_space_group_name_H-M_alt 'C 1 2/m 1'
_space_group_IT_number 12
loop_
_space_group_symop_operation_xyz
'x,y,z'
'-x,-y,-z'
'-x,y,-z'
'x,-y,z'
'x+1/2,y+1/2,z'
'-x+1/2,-y+1/2,-z'
'-x+1/2,y+1/2,-z'
'x+1/2,-y+1/2,z'
loop_
_atom_site_label
_atom_site_fract_x
_atom_site_fract_y
_atom_site_fract_z
Pr1 0.140 0.000 0.067
Y1 0.002 0.500 0.797
C1 0.000 0.000 0.000
I1 0.163 0.500 0.368
Br1 0.164 0.500 0.808
Cl1 0.000 0.000 0.500
```

=====

No. 10
Sm2Sc2CI2BrCl2: computed X-ray powder pattern (a wavelength of 1.5418 Å), based on a crystal structure in OQMD, relaxed with GGA-PBE.
Kinematic intensities with the Lorentz-polarization factor, no thermal factor.

Principal peaks in the range 2θ from 10° to 80°, by angle:
2θ 10.0, 8.841 Å, I = 58
2θ 13.1, 6.739 Å, I = 33
2θ 24.0, 3.711 Å, I = 32
2θ 30.3, 2.947 Å, I = 52
2θ 31.2, 2.869 Å, I = 23
2θ 31.8, 2.813 Å, I = 100
2θ 33.6, 2.665 Å, I = 18
2θ 34.7, 2.587 Å, I = 31
2θ 44.1, 2.055 Å, I = 30
2θ 45.0, 2.015 Å, I = 29

```
data_Sm2Sc2CI2BrCl2
_cell_length_a 18.061
_cell_length_b 3.796
_cell_length_c 8.384
_cell_angle_alpha 90.00
_cell_angle_beta 101.76
_cell_angle_gamma 90.00
_space_group_name_H-M_alt 'C 1 2/m 1'
_space_group_IT_number 12
loop_
_space_group_symop_operation_xyz
'x,y,z'
'-x,-y,-z'
'-x,y,-z'
'x,-y,z'
'x+1/2,y+1/2,z'
'-x+1/2,-y+1/2,-z'
'-x+1/2,y+1/2,-z'
'x+1/2,-y+1/2,z'
loop_
_atom_site_label
_atom_site_fract_x
_atom_site_fract_y
_atom_site_fract_z
Sm1 0.003 0.000 0.297
Sc1 0.127 0.500 0.558
C1 0.000 0.500 0.500
I1 0.174 0.000 0.825
Br1 0.000 0.500 0.000
Cl1 0.164 0.000 0.371
```

=====

No. 11
Sm2Sc2CI2BrCl2: computed X-ray powder pattern (a wavelength of 1.5418 Å), based on a crystal structure in OQMD, relaxed with GGA-PBE.
Kinematic intensities with the Lorentz-polarization factor, no thermal factor.

Principal peaks in the range 2θ from 10° to 80°, by angle:
2θ 11.4, 7.780 Å, I = 71
2θ 20.0, 4.442 Å, I = 25
2θ 24.9, 3.578 Å, I = 36
2θ 26.3, 3.391 Å, I = 36
2θ 30.2, 2.961 Å, I = 43
2θ 31.4, 2.849 Å, I = 24
2θ 32.8, 2.733 Å, I = 100
2θ 35.0, 2.564 Å, I = 41
2θ 38.3, 2.351 Å, I = 20
2θ 44.6, 2.030 Å, I = 24

```
data_Sm2Sc2CI2BrCl2
_cell_length_a 18.091
_cell_length_b 3.779
_cell_length_c 7.921
_cell_angle_alpha 90.00
_cell_angle_beta 100.86
_cell_angle_gamma 90.00
_space_group_name_H-M_alt 'C 1 2/m 1'
_space_group_IT_number 12
loop_
_space_group_symop_operation_xyz
'x,y,z'
'-x,-y,-z'
'-x,y,-z'
'x,-y,z'
'x+1/2,y+1/2,z'
'-x+1/2,-y+1/2,-z'
'-x+1/2,y+1/2,-z'
'x+1/2,-y+1/2,z'
loop_
_atom_site_label
_atom_site_fract_x
_atom_site_fract_y
_atom_site_fract_z
Sm1 0.137 0.000 0.074
Sc1 0.002 0.500 0.811
C1 0.000 0.000 0.000
I1 0.169 0.500 0.785
Br1 0.000 0.000 0.500
Cl1 0.141 0.500 0.329
```

=====

No. 12
Sm4CIBr2Cl2: computed X-ray powder pattern (a wavelength of 1.5418 Å), based on a crystal structure in OQMD, relaxed with GGA-PBE.
Kinematic intensities with the Lorentz-polarization factor, no thermal factor.

Principal peaks in the range 2θ from 10° to 80°, by angle:
2θ 10.1, 8.724 Å, I = 36
2θ 10.5, 8.386 Å, I = 50
2θ 28.0, 3.188 Å, I = 13
2θ 30.7, 2.909 Å, I = 100
2θ 30.9, 2.898 Å, I = 16
2θ 34.0, 2.635 Å, I = 18
2θ 38.6, 2.330 Å, I = 11
2θ 43.8, 2.065 Å, I = 18
2θ 44.2, 2.048 Å, I = 19
2θ 46.3, 1.962 Å, I = 13

```
data_Sm4CIBr2Cl2
_cell_length_a 18.031
_cell_length_b 3.925
_cell_length_c 8.666
_cell_angle_alpha 90.00
_cell_angle_beta 104.60
_cell_angle_gamma 90.00
_space_group_name_H-M_alt 'C 1 2/m 1'
_space_group_IT_number 12
loop_
_space_group_symop_operation_xyz
'x,y,z'
'-x,-y,-z'
'-x,y,-z'
'x,-y,z'
'x+1/2,y+1/2,z'
'-x+1/2,-y+1/2,-z'
'-x+1/2,y+1/2,-z'
'x+1/2,-y+1/2,z'
loop_
_atom_site_label
_atom_site_fract_x
_atom_site_fract_y
_atom_site_fract_z
Sm1 0.001 0.000 0.195
Sm2 0.141 0.500 0.079
C1 0.000 0.500 0.000
I1 0.000 0.500 0.500
Br1 0.170 0.000 0.844
Cl1 0.161 0.000 0.314
```